Structure and computed X-ray powder pattern of HoMg14Sc (a PBE-relaxed structure; Cu Ka).
Peak positions follow from Bragg's law for the DFT cell and can differ from measured ones.

Most intense lines, 15 to 90 degrees two-theta, in order of rising 2θ:
index	d/Å	2theta	I/Imax
1 0 1	5.182	17.11	23
1 1 0	4.875	18.20	19
1 1 1	4.143	21.45	25
2 0 2	2.591	34.62	100
2 2 0	2.438	36.87	42
4 0 0	1.724	53.13	14
2 2 4	1.529	60.54	19
4 2 2	1.435	64.98	30

Atomic structure:
Cell: 6.8950 6.8950 7.8562 Å, 90.00 90.00 90.00°
Sites, in units of the cell vectors:
Ho1 0.0000 0.0000 0.0000
Mg1 0.0000 0.0000 0.5000
Mg2 0.0000 0.5000 0.0000
Mg3 0.0000 0.5000 0.5000
Mg4 0.2547 0.2547 0.2552
Mg5 0.2547 0.2547 0.7448
Mg6 0.2547 0.7453 0.2552
Mg7 0.2547 0.7453 0.7448
Mg8 0.5000 0.0000 0.0000
Mg9 0.5000 0.0000 0.5000
Mg10 0.5000 0.5000 0.5000
Mg11 0.7453 0.2547 0.2552
Mg12 0.7453 0.2547 0.7448
Mg13 0.7453 0.7453 0.2552
Mg14 0.7453 0.7453 0.7448
Sc1 0.5000 0.5000 0.0000